For Li3PrSn3, the GGA-PBE geometry in Alexandria gives the calculated powder diffraction line list in this record (Cu Kα X-rays).

The 12 most intense peaks (2θ = 10–90°), by intensity:
30.68°, rel. 100, (2 1 1)
27.95°, rel. 95, (2 1 0)
47.67°, rel. 60, (3 2 1)
24.95°, rel. 42, (2 0 0)
45.84°, rel. 25, (3 2 0)
59.33°, rel. 24, (4 2 1)
51.19°, rel. 23, (4 0 0)
71.13°, rel. 22, (5 2 0)
83.49°, rel. 18, (6 1 1)
72.54°, rel. 17, (5 2 1)
57.77°, rel. 17, (4 2 0)
75.32°, rel. 15, (4 4 0)

Atomic structure:
Unit cell a=7.1375 b=7.1375 c=7.1375 alpha=90.00 beta=90.00 gamma=90.00
Fractional coordinates of all 14 atoms:
Li  0.0000  0.2500  0.5000
Li  0.0000  0.7500  0.5000
Li  0.2500  0.5000  0.0000
Li  0.5000  0.0000  0.2500
Li  0.5000  0.0000  0.7500
Li  0.7500  0.5000  0.0000
Pr  0.0000  0.0000  0.0000
Pr  0.5000  0.5000  0.5000
Sn  0.0000  0.5000  0.2500
Sn  0.0000  0.5000  0.7500
Sn  0.2500  0.0000  0.5000
Sn  0.5000  0.2500  0.0000
Sn  0.5000  0.7500  0.0000
Sn  0.7500  0.0000  0.5000